# 1
This entry pairs a crystal structure of Nb4AlMo with its theoretical X-ray diffraction stick pattern. Radiation: Cu Kα X-rays. Structure: a PBE-relaxed structure.
Intensities are scaled so that the largest is 100.

Peak list (10 most intense, 10 to 80 degrees two-theta, in order of rising 2θ)
| 2theta | I (rel.) | hkl |
| --- | --- | --- |
| 12.12 | 14 | 0 0 3 |
| 24.90 | 26 | 0 1 2 |
| 28.68 | 68 | 1 0 4 |
| 40.67 | 100 | 0 1 8 |
| 41.33 | 96 | 1 1 0 |
| 51.07 | 13 | 0 2 4 |
| 59.38 | 32 | 2 0 8 |
| 73.57 | 16 | 1 0 16 |
| 74.91 | 32 | 1 2 8 |
| 75.35 | 16 | 3 0 0 |

```
data_Nb4AlMo
_symmetry_space_group_name_H-M 'R -3 m'
_symmetry_Int_Tables_number 166
_symmetry_space_group_name_Hall '-R 3 2"'
_cell_length_a 4.3694
_cell_length_b 4.3694
_cell_length_c 21.9051
_cell_angle_alpha 90.00
_cell_angle_beta 90.00
_cell_angle_gamma 120.00
loop_
_atom_site_label
_atom_site_type_symbol
_atom_site_fract_x
_atom_site_fract_y
_atom_site_fract_z
Nb1 Nb 0.0000 0.0000 0.1229
Nb2 Nb 0.0000 0.0000 0.3754
Al1 Al 0.0000 0.0000 0.5000
Mo1 Mo 0.0000 0.0000 0.0000
```

***

# 2
This entry pairs a crystal structure of Nb14AlMo with its theoretical X-ray diffraction stick pattern. Radiation: Cu Kα X-rays. Structure: a PBE-relaxed structure.
Intensities are scaled so that the largest is 100.

Peak list (10 most intense, 10 to 80 degrees two-theta, in order of rising 2θ)
| 2theta | I (rel.) | hkl |
| --- | --- | --- |
| 13.43 | 2 | 1 0 0 |
| 19.02 | 1 | 1 0 1 |
| 23.35 | 1 | 1 1 1 |
| 33.26 | 1 | 2 1 1 |
| 38.59 | 100 | 2 2 0 |
| 41.02 | 1 | 2 1 2 |
| 55.52 | 6 | 0 0 4 |
| 55.82 | 11 | 4 0 0 |
| 69.70 | 11 | 2 2 4 |
| 69.89 | 22 | 4 2 2 |

```
data_Nb14AlMo
_symmetry_space_group_name_H-M 'P 4/m m m'
_symmetry_Int_Tables_number 123
_symmetry_space_group_name_Hall '-P 4 2'
_cell_length_a 6.5878
_cell_length_b 6.5878
_cell_length_c 6.6205
_cell_angle_alpha 90.00
_cell_angle_beta 90.00
_cell_angle_gamma 90.00
loop_
_atom_site_label
_atom_site_type_symbol
_atom_site_fract_x
_atom_site_fract_y
_atom_site_fract_z
Nb1 Nb 0.0000 0.0000 0.0000
Nb2 Nb 0.0000 0.5000 0.0000
Nb3 Nb 0.0000 0.5000 0.5000
Nb4 Nb 0.2460 0.2460 0.2516
Nb5 Nb 0.5000 0.5000 0.0000
Al1 Al 0.5000 0.5000 0.5000
Mo1 Mo 0.0000 0.0000 0.5000
```